# 1
For NaPH3C2N3O4, a DFT-relaxed cell (PBE, the Materials Project) gives the calculated powder diffractogram in this record (Cu Kα, 1.54184 Å).

Principal peaks in the range 5 to 70 degrees two-theta, low angle first:
17.49°, d = 5.070 Å, I 16, (1 1 0)
19.22°, d = 4.617 Å, I 14, (0 2 1)
19.36°, d = 4.584 Å, I 40, (1 2 -1)
21.78°, d = 4.080 Å, I 22, (1 1 -2)
25.94°, d = 3.435 Å, I 20, (0 0 2)
26.92°, d = 3.312 Å, I 100, (0 1 2)
27.03°, d = 3.299 Å, I 21, (1 1 1)
27.33°, d = 3.263 Å, I 24, (2 1 -1)
30.07°, d = 2.972 Å, I 20, (2 2 -2)
31.60°, d = 2.832 Å, I 38, (1 4 -1)
35.51°, d = 2.528 Å, I 10, (1 4 -2)
45.19°, d = 2.006 Å, I 10, (0 3 3)

Atomic structure:
Lattice parameters (Å, degrees): 6.976 12.472 8.637 90.00 127.30 90.00
Space group P2_1/c (No. 14)
One atom of each set of equivalent atoms:
Na 0.148 0.053 0.398 (multiplicity 4)
P 0.321 0.579 0.616 (multiplicity 4)
H 0.049 0.692 0.614 (multiplicity 4)
H 0.320 0.075 0.856 (multiplicity 4)
H 0.437 0.620 0.012 (multiplicity 4)
C 0.226 0.704 0.060 (multiplicity 4)
C 0.408 0.231 0.901 (multiplicity 4)
N 0.187 0.697 0.602 (multiplicity 4)
N 0.417 0.694 0.053 (multiplicity 4)
N 0.435 0.130 0.861 (multiplicity 4)
O 0.104 0.623 0.032 (multiplicity 4)
O 0.171 0.517 0.429 (multiplicity 4)
O 0.235 0.240 0.400 (multiplicity 4)
O 0.405 0.525 0.804 (multiplicity 4)

=====

# 2
For Ce2Sc3Si4, a DFT-relaxed cell (PBE, the Materials Project) gives the calculated powder diffractogram in this record (Cu Kα, 1.54184 Å).

Principal peaks in the range 5 to 70 degrees two-theta, low angle first:
13.43°, d = 6.592 Å, I 30, (0 1 1)
22.32°, d = 3.982 Å, I 42, (0 3 1)
27.70°, d = 3.220 Å, I 26, (1 1 2)
28.31°, d = 3.153 Å, I 30, (2 1 1)
33.09°, d = 2.707 Å, I 96, (1 3 2)
33.61°, d = 2.667 Å, I 100, (2 3 1)
35.00°, d = 2.564 Å, I 29, (0 4 2)
38.20°, d = 2.356 Å, I 22, (0 6 0)
38.35°, d = 2.347 Å, I 33, (1 0 3)
39.55°, d = 2.279 Å, I 30, (3 0 1)
53.14°, d = 1.723 Å, I 22, (3 0 3)
56.19°, d = 1.637 Å, I 24, (4 3 1)

Atomic structure:
Lattice parameters (Å, degrees): 7.180 14.136 7.451 90.00 90.00 90.00
Space group Pnma (No. 62)
One atom of each set of equivalent atoms:
Ce 0.011 0.097 0.172 (multiplicity 8)
Sc 0.162 0.750 0.505 (multiplicity 4)
Sc 0.171 0.124 0.676 (multiplicity 8)
Si 0.034 0.750 0.120 (multiplicity 4)
Si 0.155 0.539 0.465 (multiplicity 8)
Si 0.213 0.250 0.377 (multiplicity 4)

=====

# 3
For AgN, a DFT-relaxed cell (PBE, the Materials Project) gives the calculated powder diffractogram in this record (Cu Kα, 1.54184 Å).

Principal peaks in the range 5 to 70 degrees two-theta, low angle first:
31.82°, d = 2.812 Å, I 30, (0 0 2)
32.31°, d = 2.771 Å, I 100, (1 0 0)
36.14°, d = 2.485 Å, I 2, (1 0 1)
45.99°, d = 1.974 Å, I 91, (1 0 2)
57.62°, d = 1.600 Å, I 24, (1 1 0)
66.50°, d = 1.406 Å, I 5, (0 0 4)
67.35°, d = 1.390 Å, I 20, (1 1 2)
67.63°, d = 1.385 Å, I 11, (2 0 0)

Atomic structure:
Lattice parameters (Å, degrees): 3.1993 3.1993 5.6241 90.00 90.00 120.00
Space group P6_3/mmc (No. 194)
One atom of each set of equivalent atoms:
Ag 0.0000 0.0000 0.0000 (multiplicity 2)
N 0.3333 0.6667 0.2500 (multiplicity 2)

=====

# 4
For LiGdCl4, a DFT-relaxed cell (PBE, the Materials Project) gives the calculated powder diffractogram in this record (Cu Kα, 1.54184 Å).

Principal peaks in the range 5 to 70 degrees two-theta, low angle first:
15.14°, d = 5.852 Å, I 100, (1 0 1)
23.49°, d = 3.787 Å, I 68, (1 1 2)
24.31°, d = 3.661 Å, I 13, (1 0 3)
31.41°, d = 2.848 Å, I 44, (1 2 1)
33.27°, d = 2.693 Å, I 15, (1 1 4)
36.55°, d = 2.459 Å, I 17, (1 0 5)
36.92°, d = 2.435 Å, I 34, (2 1 3)
38.72°, d = 2.326 Å, I 33, (2 0 4)
39.07°, d = 2.305 Å, I 21, (2 2 0)
45.48°, d = 1.995 Å, I 15, (1 1 6)
46.10°, d = 1.969 Å, I 31, (3 1 2)
46.56°, d = 1.951 Å, I 16, (3 0 3)

Atomic structure:
Lattice parameters (Å, degrees): 6.520 6.520 13.274 90.00 90.00 90.00
Space group I4_1/a (No. 88, origin choice 2)
One atom of each set of equivalent atoms:
Li 0.000 0.250 0.125 (multiplicity 4)
Gd 0.000 0.250 0.625 (multiplicity 4)
Cl 0.172 0.467 0.795 (multiplicity 16)

=====

# 5
For LiH12AuC4S4O12, a DFT-relaxed cell (PBE, the Materials Project) gives the calculated powder diffractogram in this record (Cu Kα, 1.54184 Å).

Principal peaks in the range 5 to 70 degrees two-theta, low angle first:
12.90°, d = 6.864 Å, I 100, (1 0 1)
18.13°, d = 4.893 Å, I 6, (0 0 2)
22.35°, d = 3.978 Å, I 27, (1 1 2)
22.50°, d = 3.952 Å, I 26, (1 2 1)
25.92°, d = 3.437 Å, I 8, (2 0 2)
26.09°, d = 3.415 Å, I 9, (2 2 0)
28.89°, d = 3.091 Å, I 8, (1 0 3)
29.23°, d = 3.056 Å, I 8, (1 3 0)
34.45°, d = 2.603 Å, I 10, (2 1 3)
34.67°, d = 2.587 Å, I 22, (2 3 1)
39.56°, d = 2.278 Å, I 9, (3 3 0)
48.01°, d = 1.895 Å, I 10, (5 1 0)

Atomic structure:
Lattice parameters (Å, degrees): 9.659 9.659 9.787 90.00 90.00 90.00
Space group I-4 (No. 82)
One atom of each set of equivalent atoms:
Li 0.000 0.000 0.000 (multiplicity 2)
H 0.098 0.713 0.431 (multiplicity 8)
H 0.116 0.870 0.331 (multiplicity 8)
H 0.129 0.703 0.249 (multiplicity 8)
Au 0.000 0.500 0.750 (multiplicity 2)
C 0.148 0.762 0.343 (multiplicity 8)
S 0.172 0.740 0.876 (multiplicity 8)
O 0.109 0.680 0.740 (multiplicity 8)
O 0.117 0.126 0.115 (multiplicity 8)
O 0.142 0.649 0.991 (multiplicity 8)

=====

# 6
For AlC7IN, a DFT-relaxed cell (PBE, the Materials Project) gives the calculated powder diffractogram in this record (Cu Kα, 1.54184 Å).

Principal peaks in the range 5 to 70 degrees two-theta, low angle first:
16.19°, d = 5.474 Å, I 42, (2 0 0)
16.95°, d = 5.230 Å, I 100, (1 2 1)
19.33°, d = 4.593 Å, I 49, (0 0 2)
22.75°, d = 3.909 Å, I 27, (0 4 0)
25.31°, d = 3.518 Å, I 66, (2 0 2)
26.08°, d = 3.417 Å, I 30, (1 4 1)
28.05°, d = 3.181 Å, I 30, (2 4 0)
28.69°, d = 3.111 Å, I 39, (3 2 1)
30.02°, d = 2.977 Å, I 27, (0 4 2)
32.45°, d = 2.759 Å, I 39, (1 2 3)
34.29°, d = 2.615 Å, I 25, (2 4 2)
40.12°, d = 2.248 Å, I 21, (3 2 3)

Atomic structure:
Lattice parameters (Å, degrees): 10.948 15.635 9.186 90.00 90.00 90.00
Space group Iba2 (No. 45)
One atom of each set of equivalent atoms:
Al 0.135 0.046 0.000 (multiplicity 8)
C 0.006 0.120 0.559 (multiplicity 8)
C 0.044 0.257 0.178 (multiplicity 8)
C 0.086 0.322 0.248 (multiplicity 8)
C 0.107 0.078 0.502 (multiplicity 8)
C 0.164 0.369 0.327 (multiplicity 8)
C 0.208 0.398 0.462 (multiplicity 8)
C 0.234 0.077 0.826 (multiplicity 8)
I 0.235 0.356 0.936 (multiplicity 8)
N 0.006 0.200 0.609 (multiplicity 8)

=====

# 7
For BaVSe3, a DFT-relaxed cell (PBE, the Materials Project) gives the calculated powder diffractogram in this record (Cu Kα, 1.54184 Å).

Principal peaks in the range 5 to 70 degrees two-theta, low angle first:
20.75°, d = 4.280 Å, I 6, (1 0 1)
25.35°, d = 3.513 Å, I 10, (1 1 0)
29.35°, d = 3.043 Å, I 12, (2 0 0)
29.67°, d = 3.011 Å, I 22, (0 0 2)
32.98°, d = 2.716 Å, I 100, (2 0 1)
33.20°, d = 2.699 Å, I 6, (1 0 2)
42.23°, d = 2.140 Å, I 27, (2 0 2)
52.06°, d = 1.757 Å, I 23, (2 2 0)
54.79°, d = 1.676 Å, I 23, (2 0 3)
61.07°, d = 1.517 Å, I 17, (2 2 2)
63.02°, d = 1.475 Å, I 15, (4 0 1)
69.19°, d = 1.358 Å, I 6, (4 0 2)

Atomic structure:
Lattice parameters (Å, degrees): 7.0266 7.0266 6.0220 90.00 90.00 120.00
Space group P6_3/mmc (No. 194)
One atom of each set of equivalent atoms:
Ba 0.3333 0.6667 0.2500 (multiplicity 2)
V 0.0000 0.0000 0.0000 (multiplicity 2)
Se 0.1666 0.3331 0.7500 (multiplicity 6)